Structure and computed XRD peak list of Th5GeSb4 (a DFT-relaxed cell (PBE, Alexandria); Cu Kα (weighted mean of Kα1 and Kα2)).
Kinematic intensities with the Lorentz-polarization factor, no thermal factor.

Structure:
Cell lengths 7.740, 7.740, 7.740 Å; angles 99.60, 99.60, 131.80 degrees
Element x y z (fractional)
Th 0.000 0.000 0.000
Th 0.215 0.598 0.813
Th 0.402 0.215 0.617
Th 0.598 0.785 0.383
Th 0.785 0.402 0.187
Ge 0.500 0.500 0.000
Sb 0.094 0.304 0.398
Sb 0.304 0.906 0.210
Sb 0.696 0.094 0.790
Sb 0.906 0.696 0.602

Top 10 peaks for 15 to 90 degrees two-theta, low angle first:
| two_theta | intensity |
| --- | --- |
| 24.4 | 20 |
| 28.2 | 100 |
| 40.4 | 76 |
| 47.7 | 10 |
| 50.0 | 27 |
| 58.4 | 12 |
| 64.2 | 4 |
| 66.1 | 34 |
| 73.4 | 25 |
| 87.3 | 8 |